Entry 1:
Structure and computed XRD peak list of BaSr3Au4 (a crystal structure in Alexandria, relaxed with PBE; Cu Kα, 1.54184 Å).

Principal peaks in the range 10 to 80 degrees two-theta, sorted by position:
2θ/deg  d (Å)  I (rel.)
16.1  5.500  1
22.9  3.889  13
32.6  2.750  100
40.2  2.245  4
46.7  1.944  18
52.6  1.739  6
58.1  1.588  39
68.2  1.375  12
73.0  1.296  3
77.6  1.230  17

Structure:
```
data_BaSr3Au4
_chemical_formula_sum 'Ba1 Sr3 Au4'
_space_group_name_H-M_alt 'P 1'
_space_group_IT_number 1
_space_group_name_Hall 'P 1'
_cell_length_a 6.7358
_cell_length_b 6.7358
_cell_length_c 6.7358
_cell_angle_alpha 109.47
_cell_angle_beta 109.47
_cell_angle_gamma 109.47
loop_
_atom_site_label
_atom_site_type_symbol
_atom_site_fract_x
_atom_site_fract_y
_atom_site_fract_z
Ba1 Ba 0.0000 0.0000 0.0000
Sr1 Sr 0.0000 0.5000 0.5000
Sr2 Sr 0.5000 0.0000 0.5000
Sr3 Sr 0.5000 0.5000 0.0000
Au1 Au 0.0000 0.0000 0.5000
Au2 Au 0.0000 0.5000 0.0000
Au3 Au 0.5000 0.0000 0.0000
Au4 Au 0.5000 0.5000 0.5000
```

Entry 2:
Structure and computed XRD peak list of SmHfF7 (a crystal structure in Alexandria, relaxed with PBE; Cu Kα, 1.54184 Å).

Principal peaks in the range 10 to 80 degrees two-theta, sorted by position:
2θ/deg  d (Å)  I (rel.)
21.1  4.205  100
21.7  4.092  39
22.2  4.000  16
25.3  3.525  17
28.0  3.190  31
30.4  2.936  14
32.8  2.730  15
42.7  2.117  16
46.2  1.964  16
46.8  1.943  14

Structure:
```
data_SmHfF7
_chemical_formula_sum 'Sm2 Hf2 F14'
_space_group_name_H-M_alt 'P 1'
_space_group_IT_number 1
_space_group_name_Hall 'P 1'
_cell_length_a 6.1774
_cell_length_b 5.8722
_cell_length_c 8.3938
_cell_angle_alpha 90.00
_cell_angle_beta 102.82
_cell_angle_gamma 90.00
loop_
_atom_site_label
_atom_site_type_symbol
_atom_site_fract_x
_atom_site_fract_y
_atom_site_fract_z
Sm1 Sm 0.1557 0.0000 0.1894
Sm2 Sm 0.8443 0.5000 0.8106
Hf1 Hf 0.3139 0.0070 0.7251
Hf2 Hf 0.6861 0.5070 0.2749
F1 F 0.0419 0.7060 0.0171
F2 F 0.0772 0.7679 0.7082
F3 F 0.0941 0.2645 0.7063
F4 F 0.2697 0.0023 0.4810
F5 F 0.3579 0.0134 0.9686
F6 F 0.4403 0.2747 0.2545
F7 F 0.4498 0.7458 0.2643
F8 F 0.5502 0.2458 0.7357
F9 F 0.5597 0.7747 0.7455
F10 F 0.6421 0.5134 0.0314
F11 F 0.7303 0.5023 0.5190
F12 F 0.9059 0.7645 0.2937
F13 F 0.9228 0.2679 0.2918
F14 F 0.9581 0.2060 0.9829
```